(1)
Starting from a DFT-relaxed cell (PBE+U, the Materials Project), the powder X-ray diffraction pattern of Li2TiCr3O8 was computed for a wavelength of 1.5418 Å.
Kinematic intensities with the Lorentz-polarization factor, no thermal factor.

Largest 12 diffraction maxima, in order of rising 2θ, 2θ from 10° to 80°:
index	2θ (°)	I/Imax
0 0 1	17.9	100
4 0 -1	35.1	10
2 2 -1	35.7	22
4 0 0	42.1	20
2 2 -2	43.2	38
2 2 1	46.5	5
4 0 1	55.2	5
2 2 -3	56.6	9
2 2 2	61.2	10
6 2 -2	62.5	11
0 4 0	63.1	5
6 2 -1	65.1	5

Atomic structure:
```
data_Li2TiCr3O8
_chemical_formula_sum 'Li4 Ti2 Cr6 O16'
_space_group_name_H-M_alt 'C 1 2/m 1'
_space_group_IT_number 12
_cell_length_a 10.329
_cell_length_b 5.891
_cell_length_c 5.968
_cell_angle_alpha 90.00
_cell_angle_beta 123.73
_cell_angle_gamma 90.00
loop_
_space_group_symop_operation_xyz
'x,y,z'
'-x,-y,-z'
'-x,y,-z'
'x,-y,z'
'x+1/2,y+1/2,z'
'-x+1/2,-y+1/2,-z'
'-x+1/2,y+1/2,-z'
'x+1/2,-y+1/2,z'
loop_
_atom_site_label
_atom_site_type_symbol
_atom_site_fract_x
_atom_site_fract_y
_atom_site_fract_z
_atom_site_occupancy
Li1 Li 0.250 0.250 0.000 1
Ti1 Ti 0.000 0.000 0.500 1
Cr1 Cr 0.000 0.500 0.500 1
Cr2 Cr 0.250 0.250 0.500 1
O1 O 0.012 0.255 0.296 1
O2 O 0.228 0.000 0.712 1
O3 O 0.230 0.500 0.712 1
```

---

(2)
Starting from a DFT-relaxed cell (PBE+U, the Materials Project), the powder X-ray diffraction pattern of LiVO3 was computed for a wavelength of 1.5418 Å.
Kinematic intensities with the Lorentz-polarization factor, no thermal factor.

Largest 12 diffraction maxima, in order of rising 2θ, 2θ from 10° to 80°:
index	2θ (°)	I/Imax
2 0 0	18.3	100
0 2 0	20.6	16
0 2 1	26.2	97
3 1 -1	28.3	16
2 2 -1	28.4	95
3 1 0	29.5	35
2 0 -2	30.8	33
0 0 2	32.4	56
3 1 1	38.4	15
2 4 -1	46.5	16
2 2 -3	50.7	22
5 3 -1	54.3	17

Atomic structure:
```
data_LiVO3
_chemical_formula_sum 'Li8 V8 O24'
_space_group_name_H-M_alt 'C 1 2/c 1'
_space_group_IT_number 15
_cell_length_a 10.439
_cell_length_b 8.631
_cell_length_c 5.944
_cell_angle_alpha 90.00
_cell_angle_beta 111.49
_cell_angle_gamma 90.00
loop_
_space_group_symop_operation_xyz
'x,y,z'
'-x,-y,-z'
'-x,y,-z+1/2'
'x,-y,z+1/2'
'x+1/2,y+1/2,z'
'-x+1/2,-y+1/2,-z'
'-x+1/2,y+1/2,-z+1/2'
'x+1/2,-y+1/2,z+1/2'
loop_
_atom_site_label
_atom_site_type_symbol
_atom_site_fract_x
_atom_site_fract_y
_atom_site_fract_z
_atom_site_occupancy
Li1 Li 0.000 0.082 0.250 1
Li2 Li 0.000 0.272 0.750 1
V1 V 0.213 0.406 0.229 1
O1 O 0.113 0.108 0.666 1
O2 O 0.144 0.231 0.215 1
O3 O 0.147 0.468 0.914 1
```

---

(3)
Starting from a DFT-relaxed cell (PBE+U, the Materials Project), the powder X-ray diffraction pattern of Na3NiO2 was computed for a wavelength of 1.5418 Å.
Kinematic intensities with the Lorentz-polarization factor, no thermal factor.

Largest 12 diffraction maxima, in order of rising 2θ, 2θ from 10° to 80°:
index	2θ (°)	I/Imax
1 0 2	21.7	50
1 1 0	22.7	16
1 1 2	27.1	13
0 0 4	29.3	15
2 0 0	32.3	41
1 1 4	37.4	100
2 1 2	39.3	17
2 2 0	46.3	34
3 1 4	61.0	34
3 2 2	62.3	9
2 0 8	70.6	9
2 2 8	79.8	10

Atomic structure:
```
data_Na3NiO2
_chemical_formula_sum 'Na12 Ni4 O8'
_space_group_name_H-M_alt 'P 41 21 2'
_space_group_IT_number 92
_cell_length_a 5.541
_cell_length_b 5.541
_cell_length_c 12.181
_cell_angle_alpha 90.00
_cell_angle_beta 90.00
_cell_angle_gamma 90.00
loop_
_space_group_symop_operation_xyz
'x,y,z'
'-y+1/2,x+1/2,z+1/4'
'-x,-y,z+1/2'
'y+1/2,-x+1/2,z+3/4'
'x+1/2,-y+1/2,-z+3/4'
'-y,-x,-z+1/2'
'-x+1/2,y+1/2,-z+1/4'
'y,x,-z'
loop_
_atom_site_label
_atom_site_type_symbol
_atom_site_fract_x
_atom_site_fract_y
_atom_site_fract_z
_atom_site_occupancy
Na1 Na 0.020 0.478 0.124 1
Na2 Na 0.050 0.050 0.500 1
Ni1 Ni 0.004 0.996 0.250 1
O1 O 0.221 0.234 0.740 1
```

---

(4)
Starting from a DFT-relaxed cell (PBE+U, the Materials Project), the powder X-ray diffraction pattern of Li9Mn2Co5O16 was computed for a wavelength of 1.5418 Å.
Kinematic intensities with the Lorentz-polarization factor, no thermal factor.

Largest 12 diffraction maxima, in order of rising 2θ, 2θ from 10° to 80°:
index	2θ (°)	I/Imax
0 0 2	18.5	100
1 2 0	36.0	28
2 0 -1	36.9	12
1 2 -2	37.8	8
1 2 2	43.5	57
2 0 -3	44.8	26
1 -2 5	57.4	10
2 0 5	63.0	8
0 4 -1	63.3	8
-1 2 5	63.7	7
1 2 -6	63.8	7
3 2 -1	64.6	14

Atomic structure:
```
data_Li9Mn2Co5O16
_chemical_formula_sum 'Li9 Mn2 Co5 O16'
_space_group_name_H-M_alt 'P -1'
_space_group_IT_number 2
_cell_length_a 4.970
_cell_length_b 5.879
_cell_length_c 9.741
_cell_angle_alpha 98.58
_cell_angle_beta 93.59
_cell_angle_gamma 90.08
loop_
_space_group_symop_operation_xyz
'x,y,z'
'-x,-y,-z'
loop_
_atom_site_label
_atom_site_type_symbol
_atom_site_fract_x
_atom_site_fract_y
_atom_site_fract_z
_atom_site_occupancy
Li1 Li 0.000 0.000 0.000 1
Li2 Li 0.115 0.187 0.754 1
Li3 Li 0.115 0.691 0.753 1
Li4 Li 0.362 0.061 0.246 1
Li5 Li 0.365 0.560 0.247 1
Mn1 Mn 0.500 0.247 0.000 1
Co1 Co 0.000 0.500 0.000 1
Co2 Co 0.251 0.375 0.500 1
Co3 Co 0.251 0.875 0.501 1
O1 O 0.053 0.595 0.383 1
O2 O 0.054 0.094 0.382 1
O3 O 0.193 0.293 0.110 1
O4 O 0.193 0.761 0.110 1
O5 O 0.317 0.474 0.893 1
O6 O 0.344 0.973 0.889 1
O7 O 0.445 0.155 0.617 1
O8 O 0.445 0.655 0.617 1
```

---

(5)
Starting from a DFT-relaxed cell (PBE+U, the Materials Project), the powder X-ray diffraction pattern of CsMnP4O12 was computed for a wavelength of 1.5418 Å.
Kinematic intensities with the Lorentz-polarization factor, no thermal factor.

Largest 12 diffraction maxima, in order of rising 2θ, 2θ from 10° to 80°:
index	2θ (°)	I/Imax
1 1 -1	19.7	53
0 3 1	22.7	100
1 0 1	22.9	24
1 1 1	23.8	28
0 1 2	25.0	22
1 3 0	25.8	42
1 2 1	26.3	59
1 0 -2	26.5	32
1 3 -1	26.9	27
1 4 0	31.0	87
1 4 -1	32.0	20
0 0 3	36.5	31

Atomic structure:
```
data_CsMnP4O12
_chemical_formula_sum 'Cs2 Mn2 P8 O24'
_space_group_name_H-M_alt 'P 1 21 1'
_space_group_IT_number 4
_cell_length_a 5.333
_cell_length_b 13.844
_cell_length_c 7.555
_cell_angle_alpha 90.00
_cell_angle_beta 102.24
_cell_angle_gamma 90.00
loop_
_space_group_symop_operation_xyz
'x,y,z'
'-x,y+1/2,-z'
loop_
_atom_site_label
_atom_site_type_symbol
_atom_site_fract_x
_atom_site_fract_y
_atom_site_fract_z
_atom_site_occupancy
Cs1 Cs 0.116 0.000 0.334 1
Mn1 Mn 0.002 0.734 0.014 1
P1 P 0.290 0.318 0.363 1
P2 P 0.362 0.677 0.403 1
P3 P 0.497 0.374 0.055 1
P4 P 0.500 0.094 0.927 1
O1 O 0.128 0.719 0.274 1
O2 O 0.137 0.239 0.246 1
O3 O 0.160 0.405 0.411 1
O4 O 0.245 0.103 0.976 1
O5 O 0.253 0.866 0.002 1
O6 O 0.270 0.320 0.941 1
O7 O 0.280 0.654 0.967 1
O8 O 0.330 0.622 0.564 1
O9 O 0.397 0.485 0.044 1
O10 O 0.445 0.269 0.546 1
O11 O 0.473 0.847 0.736 1
O12 O 0.474 0.112 0.714 1
```